[1]
# Li9Co7O16
Simulated powder XRD pattern, a wavelength of 1.5418 Å. Input: a structure optimized by DFT (GGA+U).
Peak positions follow from Bragg's law for the DFT cell and can differ from measured ones.

Principal peaks in the range 2θ from 10° to 80°, in order of rising 2θ:
| Position (°2θ) | intensity | hkl |
| --- | --- | --- |
| 18.35 | 100 | 1 0 1 |
| 35.95 | 14 | -1 1 2 |
| 36.10 | 14 | 1 2 -1 |
| 36.56 | 12 | 1 3 2 |
| 37.76 | 8 | 2 2 0 |
| 43.36 | 27 | -2 1 1 |
| 43.66 | 27 | 0 2 -2 |
| 44.26 | 25 | 2 3 3 |
| 47.75 | 9 | 1 -3 0 |
| 63.47 | 14 | 2 1 -3 |

Atomic structure:
```
32
Lattice="5.8923 0.0000 0.0000 2.7719 7.1156 0.0000 2.8940 2.3113 6.7587" Properties=species:S:1:pos:R:3 pbc="T T T"
Li 0.0000 0.0000 0.0000
Li 2.8330 4.7134 3.3793
Li 4.2905 4.7272 5.8891
Li 5.7285 7.0826 5.0730
Li 4.3357 2.3962 4.2303
Li 5.7791 4.7134 3.3793
Li 7.2225 7.0306 2.5284
Li 5.8297 2.3443 1.6857
Li 7.2678 4.6996 0.8696
Co 4.2493 7.0769 2.5660
Co 2.8901 2.4133 1.7033
Co 4.2937 4.7368 0.8841
Co 2.9461 0.0000 0.0000
Co 7.2645 4.6900 5.8746
Co 8.6682 7.0135 5.0553
Co 7.3090 2.3500 4.1927
O 2.9787 5.9933 1.7176
O 4.2511 6.0317 4.1033
O 1.5396 1.1109 0.9883
O 2.7368 1.1910 3.3636
O 2.9075 3.5191 0.0070
O 4.2736 3.4792 2.4320
O 7.2563 8.2453 6.0097
O 5.6399 6.0018 1.7321
O 5.9184 3.4251 5.0266
O 4.3019 1.1816 0.7490
O 7.2846 5.9477 4.3267
O 8.6507 5.9078 6.7517
O 8.8214 8.2358 3.3951
O 10.0186 8.3160 5.7704
O 7.3072 3.3952 2.6554
O 8.5796 3.4336 5.0411
```

=====

[2]
# VCrO3
Simulated powder XRD pattern, a wavelength of 1.5418 Å. Input: a structure optimized by DFT (GGA+U).
Peak positions follow from Bragg's law for the DFT cell and can differ from measured ones.

Principal peaks in the range 2θ from 10° to 80°, in order of rising 2θ:
| Position (°2θ) | intensity | hkl |
| --- | --- | --- |
| 23.83 | 57 | 1 0 1 |
| 32.72 | 100 | 1 2 1 |
| 35.07 | 29 | 2 1 0 |
| 35.18 | 57 | 1 1 3 |
| 48.72 | 28 | 2 2 -2 |
| 53.26 | 40 | 2 -1 0 |
| 53.36 | 40 | 1 2 -3 |
| 61.57 | 23 | 2 3 4 |
| 62.97 | 27 | 3 2 3 |
| 70.89 | 16 | -1 3 1 |

Atomic structure:
```
20
Lattice="5.1181 0.0000 0.0000 2.5532 4.8720 0.0000 0.0093 2.6582 8.4195" Properties=species:S:1:pos:R:3 pbc="T T T"
V 0.0000 0.0000 0.0000
V 2.5770 5.2766 2.9564
V 2.5611 2.1866 0.8278
V 5.1479 6.1913 4.2032
Cr 2.5848 4.3952 6.3220
Cr 5.1352 6.6321 7.1483
Cr 5.1319 3.0596 2.0991
Cr 5.1455 3.5425 5.0536
O 1.5725 1.7574 2.5137
O 1.8105 2.6885 5.4573
O 1.8226 3.4799 7.9998
O 3.3547 5.7931 7.5661
O 3.3567 3.9167 1.6993
O 3.5965 4.8432 4.6439
O 4.1321 3.0838 6.7315
O 4.3667 1.3520 1.2513
O 4.3738 2.1629 3.8051
O 5.9238 5.2507 5.9010
O 5.9168 4.4319 3.3499
O 6.1180 3.5256 0.4132
```

=====

[3]
# MgMn6O7F5
Simulated powder XRD pattern, a wavelength of 1.5418 Å. Input: a structure optimized by DFT (GGA+U).
Peak positions follow from Bragg's law for the DFT cell and can differ from measured ones.

Principal peaks in the range 2θ from 10° to 80°, in order of rising 2θ:
| Position (°2θ) | intensity | hkl |
| --- | --- | --- |
| 22.39 | 100 | 1 1 1 |
| 27.64 | 68 | -1 1 1 |
| 34.46 | 40 | 0 2 -1 |
| 35.09 | 38 | 0 0 3 |
| 41.01 | 16 | 1 -2 1 |
| 45.70 | 21 | 2 2 2 |
| 47.09 | 18 | 2 2 -1 |
| 48.51 | 17 | 2 0 3 |
| 53.34 | 16 | 2 0 -3 |
| 53.75 | 15 | 2 -2 1 |

Atomic structure:
```
19
Lattice="5.1376 0.0000 0.0000 1.1162 5.8791 0.0000 0.9013 1.1010 7.6642" Properties=species:S:1:pos:R:3 pbc="T T T"
Mg 0.0000 0.0000 0.0000
Mn 0.5384 1.3231 2.7096
Mn 0.7702 2.9819 0.1516
Mn 3.4196 2.5087 5.1056
Mn 3.5032 4.1513 2.5223
Mn 3.6579 5.7014 0.0953
Mn 6.4794 5.3340 5.0149
O 2.2178 3.8470 5.9652
O 1.3268 1.2135 0.8355
O 2.4049 5.5040 3.3784
O 2.4934 4.3844 0.8147
O 4.6749 1.1565 4.3524
O 4.8430 2.9025 1.8103
O 5.8924 5.6084 6.9406
F 2.1282 1.0329 6.0652
F 2.3006 2.5822 3.3515
F 4.5907 4.0892 4.2415
F 4.6247 2.3600 6.9650
F 5.0859 5.8145 1.6481
```

=====

[4]
# Li7VGeO8
Simulated powder XRD pattern, a wavelength of 1.5418 Å. Input: a structure optimized by DFT (GGA+U).
Peak positions follow from Bragg's law for the DFT cell and can differ from measured ones.

Principal peaks in the range 2θ from 10° to 80°, in order of rising 2θ:
| Position (°2θ) | intensity | hkl |
| --- | --- | --- |
| 16.34 | 28 | 0 0 2 |
| 18.43 | 27 | 1 0 -1 |
| 21.46 | 100 | 1 -1 0 |
| 21.56 | 47 | 0 1 2 |
| 21.75 | 47 | 1 1 0 |
| 23.27 | 40 | 1 0 -2 |
| 23.34 | 28 | 1 0 2 |
| 32.46 | 29 | 0 2 -2 |
| 33.00 | 46 | 0 0 4 |
| 33.36 | 39 | 2 0 0 |

Atomic structure:
```
34
Lattice="5.3724 0.0000 0.0000 -0.0794 6.3838 0.0000 -0.0275 -0.0660 10.8468" Properties=species:S:1:pos:R:3 pbc="T T T"
Li 0.0000 0.0000 0.0000
Li -0.0642 3.1302 10.8451
Li -0.0206 6.3048 5.4536
Li 0.0220 4.6271 2.6079
Li 0.7881 2.2883 5.2487
Li 1.5913 0.1780 3.3536
Li 1.9457 1.6089 0.9603
Li 2.0107 3.1200 3.4545
Li 2.5804 6.3248 9.0051
Li 2.6294 3.1205 9.0029
Li 2.8553 1.3692 6.3930
Li 3.3393 5.6644 3.9645
Li 4.2798 3.3498 5.4123
Li 4.5435 4.7161 8.0256
V 0.0297 1.5363 8.1369
V 2.7012 4.8086 0.8714
Ge 1.8037 4.6887 6.3333
Ge 4.5734 1.5584 2.6903
O 0.0278 4.6049 6.3125
O 1.7871 1.5282 8.1542
O 2.0810 3.4020 0.0743
O 2.0767 6.2041 0.0580
O 2.1407 4.8399 2.5633
O 2.1167 6.1906 5.3597
O 2.4028 3.2455 5.4255
O 2.5500 4.7348 7.9175
O 2.8014 1.5366 2.7204
O 4.4521 4.7790 0.8384
O 4.7950 0.1298 8.9368
O 4.7652 2.9244 8.9535
O 4.8533 1.5371 6.4406
O 5.0895 0.0350 3.5369
O 5.2481 2.9197 3.6593
O 5.3081 1.5957 1.0940
```

=====

[5]
# Li3VB2O6
Simulated powder XRD pattern, a wavelength of 1.5418 Å. Input: a structure optimized by DFT (GGA+U).
Peak positions follow from Bragg's law for the DFT cell and can differ from measured ones.

Principal peaks in the range 2θ from 10° to 80°, in order of rising 2θ:
| Position (°2θ) | intensity | hkl |
| --- | --- | --- |
| 14.24 | 50 | 0 1 0 |
| 20.98 | 33 | 1 0 1 |
| 23.25 | 46 | 0 1 2 |
| 23.40 | 45 | 1 1 1 |
| 29.17 | 32 | 1 1 2 |
| 29.44 | 27 | -1 1 2 |
| 31.21 | 100 | 0 2 2 |
| 34.00 | 26 | 1 -2 0 |
| 35.45 | 58 | 1 1 -2 |
| 35.64 | 27 | 2 0 0 |

Atomic structure:
```
24
Lattice="5.0390 0.0000 0.0000 0.0507 6.5001 0.0000 0.0572 2.3531 7.7514" Properties=species:S:1:pos:R:3 pbc="T T T"
Li 0.8990 2.5676 2.9849
Li 0.9976 7.9850 5.7263
Li 1.6236 0.7716 0.5693
Li 3.5232 8.0817 7.1821
Li 4.1492 0.8682 2.0251
Li 4.2479 6.2856 4.7665
V 1.8252 4.5769 5.6293
V 3.3216 4.2763 2.1221
B 0.8663 4.6355 0.6861
B 1.7513 6.4295 3.3285
B 3.3955 2.4237 4.4229
B 4.2805 4.2177 7.0653
O 0.6414 4.2194 7.0769
O 1.0980 7.2020 2.4369
O 1.1764 6.0925 4.5684
O 1.4872 3.8899 1.7022
O 1.6351 7.7162 7.5388
O 2.0595 2.8800 4.6423
O 3.0874 5.9732 3.1092
O 3.5117 1.1370 0.2127
O 3.6597 4.9633 6.0492
O 3.9704 2.7607 3.1830
O 4.0488 1.6512 5.3145
O 4.5055 4.6338 0.6745
```

=====

[6]
# MoO3
Simulated powder XRD pattern, a wavelength of 1.5418 Å. Input: a structure optimized by DFT (GGA+U).
Peak positions follow from Bragg's law for the DFT cell and can differ from measured ones.

Principal peaks in the range 2θ from 10° to 80°, in order of rising 2θ:
| Position (°2θ) | intensity | hkl |
| --- | --- | --- |
| 11.97 | 19 | 0 2 0 |
| 24.08 | 100 | 0 4 0 |
| 26.40 | 82 | 0 2 1 |
| 33.86 | 33 | 1 1 1 |
| 36.47 | 18 | 0 6 0 |
| 38.51 | 17 | 1 5 0 |
| 47.64 | 15 | 2 0 0 |
| 47.95 | 15 | 0 0 2 |
| 54.35 | 20 | 0 4 2 |
| 55.29 | 45 | 0 8 1 |

Atomic structure:
```
16
Lattice="3.8176 0.0000 0.0000 0.0000 14.7835 0.0000 0.0000 0.0000 3.7945" Properties=species:S:1:pos:R:3 pbc="T T T"
Mo 0.0000 1.5445 0.9486
Mo 0.0000 13.2390 2.8459
Mo 1.9088 5.8473 2.8459
Mo 1.9088 8.9363 0.9486
O 0.0000 1.0237 2.8459
O 0.0000 3.2442 0.9486
O 0.0000 6.1053 2.8459
O 0.0000 8.6783 0.9486
O 0.0000 11.5394 2.8459
O 0.0000 13.7598 0.9486
O 1.9088 1.2865 0.9486
O 1.9088 4.1476 2.8459
O 1.9088 6.3680 0.9486
O 1.9088 8.4155 2.8459
O 1.9088 10.6359 0.9486
O 1.9088 13.4970 2.8459
```